Record 1
The following is a theoretical XRD peak list of Li4Nb2V3Co3O16. It was derived from the GGA+U geometry in the Materials Project, using Cu Kα (weighted mean of Kα1 and Kα2).
Neutral-atom scattering factors, no anomalous dispersion.

Largest 12 diffraction maxima, by angle, 10 to 80 degrees two-theta:
2θ = 18.14°, d 4.891, I 228; 2θ = 19.35°, d 4.586, I 1000; 2θ = 19.44°, d 4.566, I 207; 2θ = 25.07°, d 3.552, I 237; 2θ = 32.37°, d 2.766, I 283; 2θ = 32.49°, d 2.756, I 257; 2θ = 35.02°, d 2.562, I 221; 2θ = 35.19°, d 2.550, I 388; 2θ = 35.82°, d 2.507, I 302; 2θ = 39.32°, d 2.291, I 185; 2θ = 44.65°, d 2.030, I 265; 2θ = 59.09°, d 1.563, I 143

Atomic structure:
```
data_Li4Nb2V3Co3O16
_space_group_name_H-M_alt 'P 1'
_space_group_IT_number 1
_cell_length_a 5.975
_cell_length_b 5.990
_cell_length_c 9.783
_cell_angle_alpha 89.67
_cell_angle_beta 89.89
_cell_angle_gamma 60.25
loop_
_space_group_symop_operation_xyz
'x,y,z'
loop_
_atom_site_label
_atom_site_fract_x
_atom_site_fract_y
_atom_site_fract_z
_atom_site_occupancy
Li1 0.000 0.000 0.000 1
Li2 0.002 0.000 0.497 1
Li3 0.349 0.296 0.406 1
Li4 0.673 0.645 0.906 1
Nb1 0.336 0.331 0.006 1
Nb2 0.661 0.676 0.507 1
V1 0.175 0.170 0.731 1
V2 0.657 0.169 0.723 1
V3 0.827 0.347 0.240 1
Co1 0.176 0.647 0.721 1
Co2 0.344 0.822 0.215 1
Co3 0.832 0.821 0.215 1
O1 0.007 0.005 0.809 1
O2 0.041 0.459 0.849 1
O3 0.162 0.171 0.101 1
O4 0.168 0.660 0.092 1
O5 0.334 0.296 0.611 1
O6 0.339 0.824 0.597 1
O7 0.476 0.023 0.851 1
O8 0.493 0.458 0.849 1
O9 0.535 0.928 0.352 1
O10 0.544 0.475 0.348 1
O11 0.666 0.167 0.100 1
O12 0.693 0.610 0.113 1
O13 0.834 0.829 0.598 1
O14 0.837 0.331 0.599 1
O15 0.979 0.476 0.347 1
O16 0.992 0.013 0.305 1
```

---

Record 2
The following is a theoretical XRD peak list of Sr2MgMoO6. It was derived from the GGA+U geometry in the Materials Project, using Cu Kα (weighted mean of Kα1 and Kα2).
Neutral-atom scattering factors, no anomalous dispersion.

Largest 12 diffraction maxima, by angle, 10 to 80 degrees two-theta:
2θ = 19.22°, d 4.617, I 301; 2θ = 31.60°, d 2.831, I 1000; 2θ = 31.73°, d 2.820, I 527; 2θ = 37.37°, d 2.406, I 101; 2θ = 39.02°, d 2.308, I 167; 2θ = 45.11°, d 2.010, I 201; 2θ = 45.49°, d 1.994, I 373; 2θ = 56.20°, d 1.637, I 206; 2θ = 56.45°, d 1.630, I 413; 2θ = 66.00°, d 1.416, I 224; 2θ = 66.30°, d 1.410, I 106; 2θ = 75.34°, d 1.261, I 176

Atomic structure:
```
data_Sr2MgMoO6
_space_group_name_H-M_alt 'I 4/m'
_space_group_IT_number 87
_space_group_name_Hall '-I 4'
_cell_length_a 5.639
_cell_length_b 5.639
_cell_length_c 8.040
_cell_angle_alpha 90.00
_cell_angle_beta 90.00
_cell_angle_gamma 90.00
loop_
_atom_site_label
_atom_site_fract_x
_atom_site_fract_y
_atom_site_fract_z
_atom_site_occupancy
Sr1 0.000 0.500 0.250 1
Mg1 0.000 0.000 0.000 1
Mo1 0.000 0.000 0.500 1
O1 0.000 0.000 0.258 1
O2 0.209 0.726 0.500 1
```

---

Record 3
The following is a theoretical XRD peak list of KNa3Mo2O17. It was derived from the GGA+U geometry in the Materials Project, using Cu Kα (weighted mean of Kα1 and Kα2).
Neutral-atom scattering factors, no anomalous dispersion.

Largest 12 diffraction maxima, by angle, 10 to 80 degrees two-theta:
2θ = 11.78°, d 7.510, I 388; 2θ = 20.27°, d 4.381, I 235; 2θ = 20.48°, d 4.336, I 1000; 2θ = 26.37°, d 3.379, I 510; 2θ = 27.50°, d 3.243, I 713; 2θ = 28.97°, d 3.082, I 580; 2θ = 31.52°, d 2.839, I 281; 2θ = 35.75°, d 2.512, I 445; 2θ = 35.87°, d 2.503, I 334; 2θ = 48.68°, d 1.871, I 236; 2θ = 53.34°, d 1.718, I 254; 2θ = 56.11°, d 1.639, I 451

Atomic structure:
```
data_KNa3Mo2O17
_space_group_name_H-M_alt 'P 63/m'
_space_group_IT_number 176
_space_group_name_Hall '-P 6c'
_cell_length_a 8.6720
_cell_length_b 8.6720
_cell_length_c 10.7868
_cell_angle_alpha 90.00
_cell_angle_beta 90.00
_cell_angle_gamma 120.00
loop_
_atom_site_label
_atom_site_fract_x
_atom_site_fract_y
_atom_site_fract_z
_atom_site_occupancy
K1 0.0000 0.0000 0.2500 1
Na1 0.0773 0.4752 0.2500 1
Mo1 0.3333 0.6667 0.5504 1
O1 0.0450 0.2365 0.0440 1
O2 0.0518 0.7269 0.2500 1
O3 0.1304 0.4775 0.6066 1
O4 0.3333 0.6667 0.1146 1
```